Entry 1:
This entry pairs a crystal structure of Pu3NpRh3 with its calculated XRD peak list. Radiation: copper Kα. Structure: a structure optimized by DFT (PBE).

Largest 10 diffraction maxima, sorted by position, 10 to 90 degrees two-theta:
2θ 25.34, I = 27, hkl 0 0 2; 2θ 27.83, I = 18, hkl 2 2 0; 2θ 28.97, I = 10, hkl 1 1 2; 2θ 31.75, I = 14, hkl 3 1 0; 2θ 33.23, I = 33, hkl 1 3 1; 2θ 37.99, I = 100, hkl 2 2 2; 2θ 38.85, I = 16, hkl 0 4 0; 2θ 40.67, I = 18, hkl 4 0 0; 2θ 49.92, I = 10, hkl 1 3 3; 2θ 52.03, I = 19, hkl 0 0 4

Atomic structure:
```
data_Pu3NpRh3
_cell_length_a 8.8746
_cell_length_b 9.2730
_cell_length_c 7.0309
_cell_angle_alpha 90.00
_cell_angle_beta 90.00
_cell_angle_gamma 90.00
_space_group_name_H-M_alt 'C m m m'
_space_group_IT_number 65
_space_group_name_Hall '-C 2 2'
loop_
_atom_site_label
_atom_site_type_symbol
_atom_site_fract_x
_atom_site_fract_y
_atom_site_fract_z
_atom_site_occupancy
Pu1 Pu 0.0000 0.1892 0.0000 1
Pu2 Pu 0.0000 0.3027 0.5000 1
Pu3 Pu 0.1846 0.0000 0.5000 1
Np1 Np 0.2222 0.0000 0.0000 1
Rh1 Rh 0.0000 0.5000 0.1993 1
Rh2 Rh 0.2500 0.2500 0.2502 1
```

***

Entry 2:
This entry pairs a crystal structure of Mo2RhPb with its calculated XRD peak list. Radiation: copper Kα. Structure: a structure optimized by DFT (PBE).

Largest 10 diffraction maxima, sorted by position, 10 to 90 degrees two-theta:
2θ 32.53, I = 19, hkl 0 0 3; 2θ 37.74, I = 100, hkl 1 1 2; 2θ 40.00, I = 22, hkl 0 2 0; 2θ 43.86, I = 14, hkl 0 0 4; 2θ 47.47, I = 14, hkl 2 0 0; 2θ 60.85, I = 10, hkl 0 2 4; 2θ 63.77, I = 11, hkl 2 2 0; 2θ 71.17, I = 15, hkl 1 3 2; 2θ 80.61, I = 9, hkl 2 2 4; 2θ 81.79, I = 11, hkl 3 1 2

Atomic structure:
```
data_Mo2RhPb
_cell_length_a 3.8307
_cell_length_b 4.5078
_cell_length_c 8.2575
_cell_angle_alpha 90.00
_cell_angle_beta 90.00
_cell_angle_gamma 90.00
_space_group_name_H-M_alt 'C m m 2'
_space_group_IT_number 35
loop_
_space_group_symop_operation_xyz
'x,y,z'
'-x,-y,z'
'-x,y,z'
'x,-y,z'
'x+1/2,y+1/2,z'
'-x+1/2,-y+1/2,z'
'-x+1/2,y+1/2,z'
'x+1/2,-y+1/2,z'
loop_
_atom_site_label
_atom_site_type_symbol
_atom_site_fract_x
_atom_site_fract_y
_atom_site_fract_z
_atom_site_occupancy
Mo1 Mo 0.0000 0.0000 0.0000 1
Mo2 Mo 0.0000 0.5000 0.2361 1
Rh1 Rh 0.0000 0.5000 0.7914 1
Pb1 Pb 0.0000 0.0000 0.5189 1
```

***

- Which formula does entry 1 have?
  Pu3NpRh3